Theoretical powder XRD pattern
Compound: Mg4CuSe8
Radiation: a wavelength of 1.5418 Å
Structure: the PBE geometry in Alexandria
No peak broadening, texture or thermal motion is included.

Peak list (10 most intense, 10° ≤ 2θ ≤ 90°, sorted by position)
d (Å), Rel. int.
3.788, 76
3.113, 47
2.737, 17
2.405, 100
2.324, 21
2.201, 53
1.903, 35
1.894, 19
1.436, 26
1.307, 19

Structure:
```
data_Mg4CuSe8
_cell_length_a 7.2880
_cell_length_b 7.2880
_cell_length_c 7.2880
_cell_angle_alpha 105.67
_cell_angle_beta 105.67
_cell_angle_gamma 117.37
_space_group_name_H-M_alt 'P 1'
_space_group_IT_number 1
loop_
_space_group_symop_operation_xyz
'x,y,z'
loop_
_atom_site_label
_atom_site_type_symbol
_atom_site_fract_x
_atom_site_fract_y
_atom_site_fract_z
Mg1 Mg 0.0000 0.0000 0.5000
Mg2 Mg 0.0000 0.5000 0.0000
Mg3 Mg 0.5000 0.0000 0.0000
Mg4 Mg 0.5000 0.5000 0.5000
Cu1 Cu 0.0000 0.0000 0.0000
Se1 Se 0.0000 0.2751 0.2751
Se2 Se 0.0000 0.7249 0.7249
Se3 Se 0.2751 0.0000 0.2751
Se4 Se 0.2761 0.5000 0.7761
Se5 Se 0.5000 0.2761 0.7761
Se6 Se 0.5000 0.7239 0.2239
Se7 Se 0.7239 0.5000 0.2239
Se8 Se 0.7249 0.0000 0.7249
```